[1]
Diffraction record for Tl3Sb3Au8. The X-ray powder pattern is theoretical, not measured: it uses the PBE geometry in Alexandria and Cu Kα X-rays.

Structure:
a b c (Å): 17.9163 4.5230 10.0549
angles (deg): 90.00 122.68 90.00
Space group C2/m (No. 12)
One atom of each set of equivalent atoms:
Tl  0.0000  0.0000  0.0000 [2 per cell]
Tl  0.2110  0.5000  0.6304 [4 per cell]
Sb  0.0000  0.0000  0.5000 [2 per cell]
Sb  0.1749  0.5000  0.0193 [4 per cell]
Au  0.0169  0.5000  0.7003 [4 per cell]
Au  0.1096  0.0000  0.3802 [4 per cell]
Au  0.1200  0.5000  0.2234 [4 per cell]
Au  0.1398  0.0000  0.8318 [4 per cell]

Peak list (8 most intense, 2θ = 15–90°, by intensity)
- 31.77 deg, intensity 100, (1 1 2)
- 39.85 deg, intensity 76, (0 2 0)
- 32.33 deg, intensity 58, (5 1 -1)
- 35.65 deg, intensity 38, (5 1 -3)
- 29.99 deg, intensity 29, (6 0 -2)
- 41.65 deg, intensity 27, (7 1 -3)
- 27.41 deg, intensity 26, (4 0 -3)
- 50.69 deg, intensity 20, (6 2 -2)

---

[2]
Diffraction record for Tm5SnS4. The X-ray powder pattern is theoretical, not measured: it uses the PBE geometry in Alexandria and Cu Kα X-rays.

Structure:
a b c (Å): 8.8426 8.8426 5.6143
angles (deg): 90.00 90.00 90.00
Space group I4/m (No. 87)
One atom of each set of equivalent atoms:
Tm  0.0000  0.0000  0.0000 [2 per cell]
Tm  0.1037  0.6873  0.5000 [8 per cell]
Sn  0.0000  0.0000  0.5000 [2 per cell]
S  0.1047  0.6989  0.0000 [8 per cell]

Peak list (8 most intense, 2θ = 15–90°, by intensity)
- 45.83 deg, intensity 100, (3 1 2)
- 32.01 deg, intensity 92, (3 1 0)
- 27.59 deg, intensity 78, (1 2 1)
- 31.88 deg, intensity 46, (0 0 2)
- 56.97 deg, intensity 34, (2 4 2)
- 76.08 deg, intensity 28, (6 2 2)
- 54.39 deg, intensity 22, (5 0 1)
- 84.89 deg, intensity 21, (5 5 2)

---

[3]
Diffraction record for La2Sc. The X-ray powder pattern is theoretical, not measured: it uses the PBE geometry in Alexandria and Cu Kα X-rays.

Structure:
a b c (Å): 6.2859 6.2859 17.0839
angles (deg): 90.00 90.00 120.00
Space group R32 (No. 155, hexagonal axes)
One atom of each set of equivalent atoms:
La  0.0000  0.0000  0.0000 [3 per cell]
La  0.0000  0.3070  0.5000 [9 per cell]
Sc  0.0000  0.0000  0.3291 [6 per cell]

Peak list (8 most intense, 2θ = 15–90°, by intensity)
- 32.54 deg, intensity 100, (1 1 3)
- 28.40 deg, intensity 29, (1 1 0)
- 31.42 deg, intensity 25, (0 0 6)
- 56.65 deg, intensity 20, (1 1 9)
- 60.50 deg, intensity 20, (3 0 6)
- 50.28 deg, intensity 19, (3 0 0)
- 42.86 deg, intensity 19, (1 1 6)
- 61.18 deg, intensity 14, (2 2 3)

---

[4]
Diffraction record for AgBiBr4. The X-ray powder pattern is theoretical, not measured: it uses the PBE geometry in Alexandria and Cu Kα X-rays.

Structure:
a b c (Å): 15.5982 4.1825 7.5593
angles (deg): 90.00 115.97 90.00
Space group C2/m (No. 12)
One atom of each set of equivalent atoms:
Ag  0.0000  0.0000  0.0000 [2 per cell]
Bi  0.0000  0.5000  0.5000 [2 per cell]
Br  0.1020  0.5000  0.9217 [4 per cell]
Br  0.1252  0.0000  0.4748 [4 per cell]

Peak list (8 most intense, 2θ = 15–90°, by intensity)
- 27.79 deg, intensity 100, (3 1 -1)
- 35.91 deg, intensity 61, (5 1 -1)
- 26.23 deg, intensity 56, (0 0 2)
- 41.90 deg, intensity 40, (3 1 -3)
- 43.30 deg, intensity 30, (0 2 0)
- 45.53 deg, intensity 29, (5 1 1)
- 35.00 deg, intensity 25, (3 1 1)
- 33.99 deg, intensity 25, (2 0 2)